The following is a computed powder X-ray diffraction pattern of CaCeN2. It was derived from a crystal structure in the Materials Project, relaxed with GGA-PBE, using Cu Kα (λ = 1.5418 Å).
Kinematic intensities with the Lorentz-polarization factor, no thermal factor.

The 8 most intense peaks (2θ = 10–90°), in order of rising 2θ:
2θ/deg, I/Imax, (hkl)
18.47, 34, 0 0 1
24.71, 35, 1 0 0
31.03, 100, 1 0 1
35.22, 66, 1 1 0
37.45, 27, 0 0 2
50.67, 22, 2 0 0
52.35, 39, 1 1 2
60.61, 31, 2 1 1

Atomic structure:
```
data_CaCeN2
_chemical_formula_sum 'Ca1 Ce1 N2'
_cell_length_a 3.603
_cell_length_b 3.603
_cell_length_c 4.803
_cell_angle_alpha 90.00
_cell_angle_beta 90.00
_cell_angle_gamma 90.00
_space_group_name_H-M_alt 'P 4/m m m'
_space_group_IT_number 123
_space_group_name_Hall '-P 4 2'
loop_
_atom_site_label
_atom_site_type_symbol
_atom_site_fract_x
_atom_site_fract_y
_atom_site_fract_z
_atom_site_occupancy
Ca1 Ca 0.000 0.000 0.000 1
Ce1 Ce 0.500 0.500 0.500 1
N1 N 0.000 0.000 0.500 1
N2 N 0.500 0.500 0.000 1
```